No. 1
# VF4
Theoretical powder diffractogram, Cu Kα (weighted mean of Kα1 and Kα2). Input: DFT lattice parameters and positions (PBE+U).
Lines closer than 0.1° are merged.

Crystal structure
```
VF4
1.0
10.780 0.000 0.000
0.000 7.442 0.000
0.000 0.000 7.676
V F
8 32
Cartesian
2.655 7.440 0.821 V
2.655 3.722 0.821 V
2.735 0.001 4.659 V
2.735 3.720 4.659 V
8.045 7.440 3.016 V
8.045 3.722 3.016 V
8.125 0.001 6.854 V
8.125 3.720 6.854 V
0.953 0.449 0.978 F
0.953 3.272 0.978 F
1.041 0.485 4.558 F
1.041 3.235 4.558 F
2.105 5.581 0.465 F
2.208 5.581 5.023 F
2.659 0.399 6.588 F
2.659 3.322 6.588 F
2.730 4.120 2.751 F
2.730 7.042 2.751 F
3.182 1.860 1.185 F
3.285 1.860 4.303 F
4.349 4.206 0.720 F
4.349 6.956 0.720 F
4.437 4.170 4.816 F
4.437 6.992 4.816 F
6.342 0.449 2.860 F
6.342 3.272 2.860 F
6.431 0.485 6.956 F
6.431 3.235 6.956 F
7.494 5.581 3.373 F
7.598 5.581 6.490 F
8.049 0.399 4.925 F
8.049 3.322 4.925 F
8.120 4.120 1.087 F
8.120 7.042 1.087 F
8.572 1.860 2.652 F
8.675 1.860 7.211 F
9.738 4.206 3.118 F
9.738 6.956 3.118 F
9.827 4.170 6.698 F
9.827 6.992 6.698 F
```

Most intense lines, 2θ from 10° to 90°, by intensity:
| 2theta | Rel. int. |
| --- | --- |
| 16.45 | 100 |
| 24.62 | 64 |
| 23.92 | 44 |
| 29.16 | 14 |
| 34.59 | 13 |
| 47.37 | 11 |
| 56.91 | 10 |
| 55.55 | 9 |
| 50.82 | 8 |
| 52.00 | 8 |


No. 2
# VF4
Theoretical powder diffractogram, Cu Kα (weighted mean of Kα1 and Kα2). Input: DFT lattice parameters and positions (PBE+U).
Lines closer than 0.1° are merged.

Crystal structure
```
VF4
1.0
4.980 0.000 0.000
0.000 3.091 0.000
-4.262 0.000 9.563
V F
2 8
Cartesian
0.000 0.476 0.000 V
-2.131 2.616 4.781 V
-2.796 0.484 8.571 F
-0.665 2.607 3.790 F
-1.401 1.069 5.788 F
0.730 2.022 1.007 F
2.118 1.057 3.764 F
-0.013 2.035 8.546 F
3.580 0.498 1.082 F
1.449 2.593 5.863 F
```

Most intense lines, 2θ from 10° to 90°, by intensity:
| 2theta | Rel. int. |
| --- | --- |
| 18.56 | 100 |
| 19.51 | 86 |
| 20.76 | 51 |
| 38.47 | 46 |
| 42.25 | 25 |
| 50.62 | 21 |
| 30.39 | 20 |
| 43.81 | 19 |
| 32.21 | 14 |
| 60.70 | 13 |


No. 3
# VF3
Theoretical powder diffractogram, Cu Kα (weighted mean of Kα1 and Kα2). Input: DFT lattice parameters and positions (PBE+U).
Lines closer than 0.1° are merged.

Crystal structure
```
VF3
1.0
4.494 -2.601 0.000
4.494 2.601 0.000
-3.049 0.000 4.577
V F
2 6
Cartesian
2.247 1.300 0.000 V
0.722 -1.300 2.288 V
3.732 1.944 1.144 F
0.463 0.265 3.481 F
1.988 -0.265 1.193 F
3.951 0.265 3.384 F
5.476 -0.265 1.096 F
2.207 -1.944 3.433 F
```

Most intense lines, 2θ from 10° to 90°, by intensity:
| 2theta | Rel. int. |
| --- | --- |
| 23.57 | 100 |
| 23.79 | 47 |
| 48.22 | 19 |
| 32.91 | 19 |
| 53.33 | 15 |
| 40.10 | 14 |
| 53.66 | 13 |
| 53.08 | 13 |
| 39.74 | 13 |
| 61.83 | 11 |


No. 4
# VZnF5
Theoretical powder diffractogram, Cu Kα (weighted mean of Kα1 and Kα2). Input: DFT lattice parameters and positions (PBE+U).
Lines closer than 0.1° are merged.

Crystal structure
```
VZnF5
1.0
5.218 0.000 0.000
0.000 9.892 0.000
-2.629 0.000 7.159
V Zn F
4 4 20
Cartesian
-0.523 2.439 2.832 V
-1.837 2.507 6.411 V
4.426 7.385 0.748 V
3.112 7.454 4.327 V
0.539 0.065 5.383 Zn
1.853 4.882 1.804 Zn
0.736 5.011 5.356 Zn
2.050 9.828 1.776 Zn
-0.968 1.809 4.709 F
0.346 3.137 1.130 F
0.220 5.901 1.483 F
-1.094 8.938 5.062 F
-0.564 6.303 4.678 F
0.750 8.536 1.098 F
1.813 1.060 0.034 F
0.499 3.886 3.614 F
0.937 1.130 3.026 F
-0.377 3.816 6.606 F
2.967 6.077 0.553 F
1.653 8.762 4.133 F
2.090 6.007 3.545 F
0.776 8.832 7.125 F
1.839 1.357 6.061 F
3.154 3.589 2.481 F
3.684 0.955 2.097 F
2.369 3.991 5.676 F
2.243 6.755 6.030 F
3.557 8.084 2.450 F
```

Most intense lines, 2θ from 10° to 90°, by intensity:
| 2theta | Rel. int. |
| --- | --- |
| 25.59 | 100 |
| 52.56 | 28 |
| 30.83 | 25 |
| 26.48 | 25 |
| 31.15 | 22 |
| 20.23 | 22 |
| 51.93 | 21 |
| 26.84 | 20 |
| 47.71 | 18 |
| 46.16 | 17 |


No. 5
# VZnF4
Theoretical powder diffractogram, Cu Kα (weighted mean of Kα1 and Kα2). Input: DFT lattice parameters and positions (PBE+U).
Lines closer than 0.1° are merged.

Crystal structure
```
VZnF4
1.0
5.201 0.000 0.000
0.023 5.685 0.000
1.451 1.963 5.340
V Zn F
2 2 8
Cartesian
0.000 0.000 0.000 V
2.612 2.842 0.000 V
1.851 4.885 2.986 Zn
4.824 2.763 2.354 Zn
1.447 5.988 1.480 F
1.565 3.197 1.758 F
2.662 6.105 4.361 F
2.668 3.501 4.300 F
4.007 4.146 1.040 F
4.013 1.543 0.980 F
5.110 4.450 3.582 F
5.228 1.659 3.860 F
```

Most intense lines, 2θ from 10° to 90°, by intensity:
| 2theta | Rel. int. |
| --- | --- |
| 28.03 | 100 |
| 25.39 | 84 |
| 29.37 | 58 |
| 32.80 | 46 |
| 27.39 | 46 |
| 16.61 | 41 |
| 50.91 | 36 |
| 43.52 | 33 |
| 31.91 | 29 |
| 43.66 | 26 |


No. 6
# VZnF6
Theoretical powder diffractogram, Cu Kα (weighted mean of Kα1 and Kα2). Input: DFT lattice parameters and positions (PBE+U).
Lines closer than 0.1° are merged.

Crystal structure
```
VZnF6
1.0
2.660 1.536 4.536
-2.660 1.536 4.536
0.000 -3.072 4.536
V Zn F
1 1 6
Cartesian
0.000 0.000 0.000 V
0.000 0.000 6.804 Zn
-0.469 -1.612 5.627 F
-1.630 -0.400 7.982 F
-1.161 1.212 5.627 F
1.161 -1.212 7.982 F
1.630 0.400 5.627 F
0.469 1.612 7.982 F
```

Most intense lines, 2θ from 10° to 90°, by intensity:
| 2theta | Rel. int. |
| --- | --- |
| 23.31 | 100 |
| 53.05 | 26 |
| 47.67 | 22 |
| 32.72 | 16 |
| 54.38 | 14 |
| 39.26 | 13 |
| 33.69 | 9 |
| 59.64 | 7 |
| 60.25 | 7 |
| 75.73 | 7 |


No. 7
# VZnF5
Theoretical powder diffractogram, Cu Kα (weighted mean of Kα1 and Kα2). Input: DFT lattice parameters and positions (PBE+U).
Lines closer than 0.1° are merged.

Crystal structure
```
VZnF5
1.0
4.342 -3.141 0.000
4.342 3.141 0.000
-3.402 0.000 6.832
V Zn F
2 2 10
Cartesian
0.000 0.000 0.000 V
-1.701 0.000 3.416 V
1.791 0.159 5.124 Zn
3.492 -0.159 1.708 Zn
1.791 2.413 5.124 F
0.028 0.181 4.291 F
1.728 -0.181 0.875 F
4.052 1.217 0.317 F
2.931 1.217 3.099 F
2.351 -1.217 3.733 F
1.231 -1.217 6.515 F
3.554 0.181 5.957 F
5.255 -0.181 2.541 F
3.492 -2.413 1.708 F
```

Most intense lines, 2θ from 10° to 90°, by intensity:
| 2theta | Rel. int. |
| --- | --- |
| 27.35 | 100 |
| 22.88 | 87 |
| 28.42 | 41 |
| 49.66 | 32 |
| 46.74 | 27 |
| 47.66 | 19 |
| 56.43 | 14 |
| 54.84 | 14 |
| 55.16 | 12 |
| 55.61 | 11 |


No. 8
# WF4
Theoretical powder diffractogram, Cu Kα (weighted mean of Kα1 and Kα2). Input: DFT lattice parameters and positions (PBE+U).
Lines closer than 0.1° are merged.

Crystal structure
```
WF4
1.0
5.201 0.000 0.000
-0.043 5.642 0.000
-2.303 -1.806 5.617
W F
2 8
Cartesian
0.000 0.000 0.000 W
0.266 1.008 5.596 W
-1.206 -1.266 4.122 F
-0.777 1.538 4.063 F
1.101 1.636 0.805 F
1.425 4.434 0.779 F
1.414 -0.613 4.821 F
1.771 2.195 4.822 F
3.681 2.385 1.493 F
4.076 -0.456 1.496 F
```

Most intense lines, 2θ from 10° to 90°, by intensity:
| 2theta | Rel. int. |
| --- | --- |
| 15.78 | 100 |
| 23.26 | 35 |
| 23.65 | 33 |
| 26.36 | 24 |
| 27.06 | 22 |
| 29.35 | 18 |
| 33.36 | 16 |
| 30.60 | 16 |
| 41.47 | 15 |
| 52.25 | 12 |


No. 9
# WF6
Theoretical powder diffractogram, Cu Kα (weighted mean of Kα1 and Kα2). Input: DFT lattice parameters and positions (PBE+U).
Lines closer than 0.1° are merged.

Crystal structure
```
WF6
1.0
9.950 0.000 0.000
0.000 9.041 0.000
0.000 0.000 5.256
W F
4 24
Cartesian
1.274 2.260 0.449 W
3.701 6.781 3.077 W
6.249 2.260 2.179 W
8.676 6.781 4.807 W
0.160 2.260 4.191 F
0.201 0.933 1.239 F
0.201 3.588 1.239 F
2.346 0.931 4.921 F
2.346 3.590 4.921 F
2.386 2.260 1.968 F
2.588 6.781 4.596 F
2.629 5.451 2.293 F
2.629 8.111 2.293 F
4.774 5.454 3.867 F
4.774 8.109 3.867 F
4.815 6.781 1.563 F
5.135 2.260 3.693 F
5.176 0.933 1.389 F
5.176 3.588 1.389 F
7.320 0.931 2.963 F
7.320 3.590 2.963 F
7.361 2.260 0.660 F
7.563 6.781 3.288 F
7.604 5.451 0.335 F
7.604 8.111 0.335 F
9.749 5.454 4.017 F
9.749 8.109 4.017 F
9.790 6.781 1.065 F
```

Most intense lines, 2θ from 10° to 90°, by intensity:
| 2theta | Rel. int. |
| --- | --- |
| 20.38 | 100 |
| 21.50 | 66 |
| 19.64 | 55 |
| 19.10 | 43 |
| 27.53 | 30 |
| 19.53 | 30 |
| 34.80 | 20 |
| 41.42 | 17 |
| 24.64 | 15 |
| 44.11 | 15 |


No. 10
# ZnWF6
Theoretical powder diffractogram, Cu Kα (weighted mean of Kα1 and Kα2). Input: DFT lattice parameters and positions (PBE+U).
Lines closer than 0.1° are merged.

Crystal structure
```
ZnWF6
1.0
2.738 1.581 4.744
-2.738 1.581 4.744
0.000 -3.162 4.744
Zn W F
1 1 6
Cartesian
0.000 0.000 0.000 Zn
0.000 0.000 7.116 W
-0.503 -1.552 5.921 F
-1.595 -0.340 8.311 F
-1.092 1.212 5.921 F
1.092 -1.212 8.311 F
1.595 0.340 5.921 F
0.503 1.552 8.311 F
```

Most intense lines, 2θ from 10° to 90°, by intensity:
| 2theta | Rel. int. |
| --- | --- |
| 22.53 | 100 |
| 31.43 | 28 |
| 50.94 | 25 |
| 19.73 | 21 |
| 32.71 | 20 |
| 46.00 | 20 |
| 52.66 | 18 |
| 37.94 | 14 |
| 57.58 | 12 |
| 40.08 | 10 |


No. 11
# SrLa9Mg2Ga6Fe2O28
Theoretical powder diffractogram, Cu Kα (weighted mean of Kα1 and Kα2). Input: DFT lattice parameters and positions (PBE+U).
Lines closer than 0.1° are merged.

Crystal structure
```
SrLa9Mg2Ga6Fe2O28
1.0
5.584 0.000 0.000
-2.766 4.873 0.000
-2.504 -1.771 22.855
Sr La Mg Ga Fe O
1 9 2 6 2 28
Cartesian
0.000 0.000 0.000 Sr
-2.554 1.597 11.249 La
-2.466 1.551 18.062 La
0.228 0.058 6.655 La
0.254 -0.032 13.524 La
0.190 3.214 2.207 La
0.140 -0.146 20.278 La
0.201 3.224 8.937 La
0.276 3.183 15.689 La
3.018 1.637 4.522 La
0.039 -0.065 3.356 Mg
0.407 3.248 19.060 Mg
-2.519 1.588 14.653 Ga
0.205 -0.016 10.109 Ga
0.247 -0.055 16.954 Ga
0.216 3.268 5.547 Ga
0.239 3.231 12.347 Ga
2.978 1.608 7.872 Ga
-2.676 1.349 21.641 Fe
2.864 1.625 1.002 Fe
-1.414 0.419 8.989 O
-0.970 -0.747 11.546 O
-2.451 3.001 9.273 O
-1.347 -0.976 17.574 O
-2.231 0.189 20.056 O
-3.597 2.561 20.308 O
-1.392 3.677 4.421 O
-0.963 2.330 6.891 O
-2.400 3.413 15.474 O
-1.334 2.299 13.176 O
-0.906 1.078 15.699 O
0.572 1.525 4.554 O
-0.165 4.550 0.302 O
-1.276 0.460 22.707 O
0.206 1.850 10.916 O
1.355 0.744 8.685 O
1.796 -0.461 11.250 O
1.342 -1.118 18.311 O
0.017 1.371 18.434 O
2.763 0.204 6.493 O
1.254 4.263 4.298 O
1.805 2.863 6.775 O
1.447 2.092 13.548 O
1.840 0.869 16.143 O
2.686 3.316 2.000 O
3.021 -0.231 13.782 O
1.457 0.305 22.166 O
4.552 1.186 2.125 O
```

Most intense lines, 2θ from 10° to 90°, by intensity:
| 2theta | Rel. int. |
| --- | --- |
| 31.81 | 100 |
| 32.23 | 37 |
| 32.06 | 36 |
| 31.95 | 34 |
| 56.64 | 30 |
| 45.83 | 20 |
| 45.61 | 20 |
| 45.98 | 19 |
| 22.48 | 17 |
| 56.73 | 14 |